[1]
The following is a theoretical powder X-ray diffraction pattern of LiDyCl6. It was derived from a crystal structure in Alexandria, relaxed with PBE, using CuKα.

The 10 most intense peaks (2θ = 10–90°), by angle:
Position (°2θ)  I (rel.)
14.9  653
17.2  1000
28.7  480
34.8  419
38.1  256
39.1  468
45.8  162
50.1  274
52.6  161
53.4  230

Structure:
```
8
Lattice="0.000 5.149 5.149 5.149 0.000 5.149 5.149 5.149 0.000" Properties=species:S:1:pos:R:3 pbc="T T T"
Li 0.000 0.000 0.000
Dy 5.149 5.149 5.149
Cl 5.149 5.149 2.519
Cl 5.149 2.519 5.149
Cl 7.780 5.149 5.149
Cl 2.519 5.149 5.149
Cl 5.149 7.780 5.149
Cl 5.149 5.149 7.780
```

[2]
The following is a theoretical powder X-ray diffraction pattern of Pm2CdHPt6. It was derived from a crystal structure in Alexandria, relaxed with PBE, using CuKα.

The 10 most intense peaks (2θ = 10–90°), by angle:
Position (°2θ)  I (rel.)
27.0  351
29.0  251
34.5  237
36.7  483
37.7  852
37.9  468
41.0  1000
41.1  295
43.3  243
66.0  252

Structure:
```
10
Lattice="4.897 -2.846 0.000 4.897 2.846 0.000 -3.251 0.000 6.595" Properties=species:S:1:pos:R:3 pbc="T T T"
Pm 1.686 0.000 1.117
Pm 4.856 0.000 5.478
Cd 4.897 0.000 0.000
H -1.625 0.000 3.298
Pt 2.376 1.405 4.421
Pt -0.065 0.000 4.528
Pt 4.166 1.405 2.175
Pt 2.376 -1.405 4.421
Pt 6.607 0.000 2.067
Pt 4.166 -1.405 2.175
```

[3]
The following is a theoretical powder X-ray diffraction pattern of La16Sm7Dy6. It was derived from a crystal structure in Alexandria, relaxed with PBE, using CuKα.

The 10 most intense peaks (2θ = 10–90°), by angle:
Position (°2θ)  I (rel.)
24.5  50
26.8  65
28.5  81
31.1  1000
32.6  56
34.9  53
44.5  147
55.3  284
64.8  80
73.6  83

Structure:
```
29
Lattice="0.000 8.136 8.136 8.136 0.000 8.136 8.136 8.136 0.000" Properties=species:S:1:pos:R:3 pbc="T T T"
La 10.586 5.685 5.685
La 2.036 2.036 2.036
La 6.100 6.100 2.036
La 6.100 2.036 6.100
La 5.685 5.685 5.685
La 10.586 10.586 5.685
La 10.586 5.685 10.586
La 14.236 10.172 10.172
La 2.036 6.100 6.100
La 5.685 10.586 5.685
La 5.685 5.685 10.586
La 10.586 10.586 10.586
La 10.172 14.236 10.172
La 10.172 10.172 14.236
La 14.236 14.236 14.236
La 5.685 10.586 10.586
Sm 0.000 0.000 0.000
Sm 4.068 4.068 0.000
Sm 4.068 0.000 4.068
Sm 8.136 4.068 4.068
Sm 0.000 4.068 4.068
Sm 4.068 8.136 4.068
Sm 4.068 4.068 8.136
Dy 8.136 8.136 4.269
Dy 8.136 4.269 8.136
Dy 12.002 8.136 8.136
Dy 4.269 8.136 8.136
Dy 8.136 12.002 8.136
Dy 8.136 8.136 12.002
```

[4]
The following is a theoretical powder X-ray diffraction pattern of SeICl3. It was derived from a crystal structure in Alexandria, relaxed with PBE, using CuKα.

The 10 most intense peaks (2θ = 10–90°), by angle:
Position (°2θ)  I (rel.)
11.2  1000
15.8  192
15.9  234
19.4  156
27.6  133
27.7  151
32.1  114
34.1  173
36.0  125
37.7  117

Structure:
```
20
Lattice="7.879 0.000 0.000 0.000 11.157 0.000 -0.104 0.000 11.203" Properties=species:S:1:pos:R:3 pbc="T T T"
Se 0.688 1.681 0.972
Se 0.636 9.475 6.574
Se 7.138 1.681 4.629
Se 7.086 9.475 10.230
I 0.607 4.361 0.706
I 0.555 6.795 6.307
I 7.220 4.361 4.896
I 7.168 6.795 10.497
Cl 0.408 1.385 6.664
Cl 0.460 9.771 1.062
Cl 1.651 1.790 3.283
Cl 1.598 9.367 8.884
Cl 2.714 1.415 0.099
Cl 2.662 9.742 5.700
Cl 5.112 1.415 5.503
Cl 5.060 9.742 11.104
Cl 6.176 1.790 2.318
Cl 6.124 9.367 7.920
Cl 7.314 1.385 10.140
Cl 7.366 9.771 4.539
```

[5]
The following is a theoretical powder X-ray diffraction pattern of Sc6Co2Tc. It was derived from a crystal structure in Alexandria, relaxed with PBE, using CuKα.

The 10 most intense peaks (2θ = 10–90°), by angle:
Position (°2θ)  I (rel.)
19.7  225
20.3  205
20.6  378
35.4  1000
37.9  432
38.2  844
38.6  613
41.8  432
42.7  239
66.2  231

Structure:
```
18
Lattice="-4.318 4.372 4.509 4.318 -4.372 4.509 4.318 4.372 -4.509" Properties=species:S:1:pos:R:3 pbc="T T T"
Sc 4.318 2.695 -2.302
Sc 2.601 0.000 1.581
Sc 6.035 0.000 1.581
Sc 2.045 2.802 0.000
Sc 2.273 -1.570 4.509
Sc 0.000 1.678 2.207
Sc 4.318 2.695 2.302
Sc 2.045 5.943 0.000
Sc 2.273 1.570 4.509
Sc -1.717 4.372 2.928
Sc 1.717 4.372 2.928
Sc 0.000 1.678 6.810
Co 4.318 1.285 0.000
Co 4.318 0.000 3.420
Co 0.000 4.372 1.088
Co 0.000 3.087 4.509
Tc 0.000 0.000 0.000
Tc 0.000 0.000 4.509
```

[6]
The following is a theoretical powder X-ray diffraction pattern of CePm8Ho3. It was derived from a crystal structure in Alexandria, relaxed with PBE, using CuKα.

The 10 most intense peaks (2θ = 10–90°), by angle:
Position (°2θ)  I (rel.)
24.2  550
25.7  540
29.1  775
31.2  658
32.8  307
36.2  1000
43.1  476
44.6  403
56.3  327
58.8  304

Structure:
```
12
Lattice="-4.346 4.346 5.739 4.346 -4.346 5.739 4.346 4.346 -5.739" Properties=species:S:1:pos:R:3 pbc="T T T"
Ce 0.000 0.000 0.000
Pm 3.286 3.286 -2.973
Pm 2.059 2.059 -0.233
Pm 2.287 -2.287 5.972
Pm 1.060 1.060 2.766
Pm 1.060 -1.060 8.713
Pm 2.287 2.287 5.506
Pm -2.287 2.287 5.972
Pm -1.060 1.060 8.713
Ho 4.346 0.000 2.870
Ho 0.000 0.000 5.739
Ho 0.000 4.346 2.870
```

[7]
The following is a theoretical powder X-ray diffraction pattern of Tb4MgSn. It was derived from a crystal structure in Alexandria, relaxed with PBE, using CuKα.

The 10 most intense peaks (2θ = 10–90°), by angle:
Position (°2θ)  I (rel.)
24.6  257
28.2  254
31.4  344
32.6  1000
33.7  527
34.1  960
37.8  425
46.8  230
60.8  206
66.0  261

Structure:
```
12
Lattice="2.657 -11.242 0.000 2.657 11.242 0.000 0.000 0.000 6.604" Properties=species:S:1:pos:R:3 pbc="T T T"
Tb 2.657 9.628 3.302
Tb 2.657 6.625 4.930
Tb 2.657 6.617 1.701
Tb 2.657 3.140 3.319
Tb 2.657 -3.140 0.017
Tb 2.657 -6.617 5.003
Tb 2.657 -6.625 1.628
Tb 2.657 -9.628 0.000
Mg 2.657 9.702 6.602
Mg 2.657 -9.702 3.300
Sn 2.657 3.577 0.015
Sn 2.657 -3.577 3.317
```

[8]
The following is a theoretical powder X-ray diffraction pattern of AcLaPd10. It was derived from a crystal structure in Alexandria, relaxed with PBE, using CuKα.

The 10 most intense peaks (2θ = 10–90°), by angle:
Position (°2θ)  I (rel.)
27.4  314
33.0  251
38.3  320
38.7  1000
40.0  311
43.4  183
56.6  204
62.7  160
69.2  180
83.1  219

Structure:
```
12
Lattice="4.505 0.000 0.000 0.000 5.433 0.000 0.000 0.000 9.402" Properties=species:S:1:pos:R:3 pbc="T T T"
Ac 0.000 0.000 0.000
La 0.000 2.716 4.701
Pd 0.000 0.000 3.181
Pd 0.000 0.000 6.221
Pd 0.000 2.716 1.620
Pd 0.000 2.716 7.782
Pd 2.253 0.000 4.701
Pd 2.253 1.359 2.365
Pd 2.253 1.359 7.037
Pd 2.253 2.716 0.000
Pd 2.253 4.074 2.365
Pd 2.253 4.074 7.037
```